# Li4Ti5Mn3O16
Simulated powder XRD pattern, Cu Kα. Input: a GGA+U-relaxed structure.
Kinematic intensities with the Lorentz-polarization factor, no thermal factor.

Peak list (10 most intense, 2θ = 10–90°, in order of rising 2θ)
18.36°, I 100; 19.40°, I 80; 19.69°, I 49; 33.06°, I 35; 35.47°, I 39; 35.96°, I 29; 39.38°, I 34; 44.69°, I 35; 45.50°, I 35; 61.22°, I 44

Crystal structure
```
Li4Ti5Mn3O16
1.0
5.2995 -2.9440 0.0000
5.2995 2.9440 0.0000
-0.3472 0.0000 9.6632
Li Ti Mn O
4 5 3 16
Cartesian
0.0000 0.0000 0.0000
-0.0823 0.0000 4.8475
3.5661 0.0000 5.7372
7.0852 0.0000 0.8854
4.2459 1.4539 2.6181
3.3048 0.0000 9.5959
4.2459 -1.4539 2.6181
6.9136 0.0000 4.7892
8.5955 0.0000 7.3442
1.7315 0.0000 2.7676
6.0580 1.4546 7.5771
6.0580 -1.4546 7.5771
-0.1347 0.0000 6.6911
2.8457 1.3592 1.4417
1.4804 0.0000 8.7372
4.0783 1.4420 8.7133
6.0747 1.4062 3.9416
3.6409 0.0000 3.7522
5.0716 0.0000 1.4957
2.8457 -1.3592 1.4417
5.4966 0.0000 6.3414
7.8802 1.2960 6.2584
4.0783 -1.4420 8.7133
6.9217 0.0000 8.5306
6.0747 -1.4062 3.9416
8.7589 0.0000 3.7784
7.8802 -1.2960 6.2584
10.4970 0.0000 1.8253
```